Entry 1:
For EuTa2O6, a crystal structure in Alexandria, relaxed with PBE gives the computed PXRD pattern in this record (Cu Kα (λ = 1.5418 Å)).
Neutral-atom scattering factors, no anomalous dispersion.

```
data_EuTa2O6
_symmetry_space_group_name_H-M 'P n m a'
_symmetry_Int_Tables_number 62
_cell_length_a 11.213
_cell_length_b 7.699
_cell_length_c 5.561
_cell_angle_alpha 90.00
_cell_angle_beta 90.00
_cell_angle_gamma 90.00
loop_
_symmetry_equiv_pos_as_xyz
'x,y,z'
'-x,-y,-z'
'-x+1/2,-y,z+1/2'
'x+1/2,y,-z+1/2'
'x+1/2,-y+1/2,-z+1/2'
'-x+1/2,y+1/2,z+1/2'
'-x,y+1/2,-z'
'x,-y+1/2,z'
loop_
_atom_site_label
_atom_site_fract_x
_atom_site_fract_y
_atom_site_fract_z
Eu1 0.042 0.250 0.044
Ta1 0.141 0.504 0.540
O1 0.023 0.537 0.276
O2 0.126 0.750 0.641
O3 0.145 0.250 0.461
O4 0.213 0.051 0.865
```

Main lines, low angle first (2θ from 15° to 90°):
17.80 deg, intensity 13, hkl 1 0 1; 23.11 deg, intensity 20, hkl 0 2 0; 28.12 deg, intensity 18, hkl 2 2 0; 28.78 deg, intensity 76, hkl 3 0 1; 29.32 deg, intensity 100, hkl 1 2 1; 32.19 deg, intensity 29, hkl 0 0 2; 37.23 deg, intensity 13, hkl 3 2 1; 39.78 deg, intensity 21, hkl 4 2 0; 47.22 deg, intensity 18, hkl 0 4 0; 52.07 deg, intensity 23, hkl 4 2 2; 56.25 deg, intensity 25, hkl 3 4 1; 57.59 deg, intensity 12, hkl 2 2 3

---

Entry 2:
For Eu2Ta2O7, a crystal structure in Alexandria, relaxed with PBE gives the computed PXRD pattern in this record (Cu Kα (λ = 1.5418 Å)).
Neutral-atom scattering factors, no anomalous dispersion.

```
data_Eu2Ta2O7
_symmetry_space_group_name_H-M 'C m c m'
_symmetry_Int_Tables_number 63
_symmetry_space_group_name_Hall '-C 2c 2'
_cell_length_a 3.994
_cell_length_b 27.475
_cell_length_c 5.693
_cell_angle_alpha 90.00
_cell_angle_beta 90.00
_cell_angle_gamma 90.00
loop_
_atom_site_label
_atom_site_fract_x
_atom_site_fract_y
_atom_site_fract_z
Eu1 0.000 0.056 0.250
Eu2 0.000 0.217 0.750
Ta1 0.000 0.341 0.750
Ta2 0.000 0.446 0.250
O1 0.000 0.048 0.750
O2 0.000 0.151 0.250
O3 0.000 0.293 0.508
O4 0.000 0.400 0.512
O5 0.000 0.500 0.000
```

Main lines, low angle first (2θ from 15° to 90°):
24.96 deg, intensity 34, hkl 0 6 1; 25.94 deg, intensity 28, hkl 0 8 0; 27.47 deg, intensity 27, hkl 1 1 1; 29.00 deg, intensity 100, hkl 1 3 1; 30.40 deg, intensity 30, hkl 0 8 1; 31.43 deg, intensity 55, hkl 0 0 2; 31.85 deg, intensity 85, hkl 1 5 1; 45.42 deg, intensity 50, hkl 2 0 0; 45.91 deg, intensity 26, hkl 0 10 2; 49.36 deg, intensity 23, hkl 1 9 2; 56.24 deg, intensity 40, hkl 2 0 2; 57.69 deg, intensity 31, hkl 1 15 1

---

Entry 3:
For Eu2TiO4, a crystal structure in Alexandria, relaxed with PBE gives the computed PXRD pattern in this record (Cu Kα (λ = 1.5418 Å)).
Neutral-atom scattering factors, no anomalous dispersion.

```
data_Eu2TiO4
_symmetry_space_group_name_H-M 'I 4/m m m'
_symmetry_Int_Tables_number 139
_symmetry_space_group_name_Hall '-I 4 2'
_cell_length_a 3.917
_cell_length_b 3.917
_cell_length_c 12.392
_cell_angle_alpha 90.00
_cell_angle_beta 90.00
_cell_angle_gamma 90.00
loop_
_atom_site_label
_atom_site_fract_x
_atom_site_fract_y
_atom_site_fract_z
Eu1 0.000 0.000 0.144
Ti1 0.000 0.000 0.500
O1 0.000 0.000 0.336
O2 0.000 0.500 0.000
```

Main lines, low angle first (2θ from 15° to 90°):
23.82 deg, intensity 34, hkl 1 0 1; 28.82 deg, intensity 16, hkl 0 0 4; 31.47 deg, intensity 100, hkl 1 0 3; 32.32 deg, intensity 68, hkl 1 1 0; 43.84 deg, intensity 46, hkl 0 0 6; 46.36 deg, intensity 34, hkl 2 0 0; 55.50 deg, intensity 25, hkl 1 1 6; 57.11 deg, intensity 50, hkl 2 1 3; 65.70 deg, intensity 12, hkl 2 0 6; 76.51 deg, intensity 20, hkl 3 0 3; 76.97 deg, intensity 12, hkl 3 1 0; 84.17 deg, intensity 16, hkl 2 2 6

---

Entry 4:
For Eu3Ti2O7, a crystal structure in Alexandria, relaxed with PBE gives the computed PXRD pattern in this record (Cu Kα (λ = 1.5418 Å)).
Neutral-atom scattering factors, no anomalous dispersion.

```
data_Eu3Ti2O7
_symmetry_space_group_name_H-M 'I 4/m m m'
_symmetry_Int_Tables_number 139
_symmetry_space_group_name_Hall '-I 4 2'
_cell_length_a 3.930
_cell_length_b 3.930
_cell_length_c 20.183
_cell_angle_alpha 90.00
_cell_angle_beta 90.00
_cell_angle_gamma 90.00
loop_
_atom_site_label
_atom_site_fract_x
_atom_site_fract_y
_atom_site_fract_z
Eu1 0.000 0.000 0.000
Eu2 0.000 0.000 0.184
Ti1 0.000 0.000 0.401
O1 0.000 0.000 0.302
O2 0.000 0.000 0.500
O3 0.000 0.500 0.098
```

Main lines, low angle first (2θ from 15° to 90°):
23.05 deg, intensity 28, hkl 1 0 1; 26.50 deg, intensity 15, hkl 0 0 6; 31.78 deg, intensity 100, hkl 1 0 5; 32.21 deg, intensity 64, hkl 1 1 0; 42.18 deg, intensity 34, hkl 1 1 6; 44.91 deg, intensity 12, hkl 0 0 10; 46.19 deg, intensity 35, hkl 2 0 0; 55.25 deg, intensity 12, hkl 1 0 11; 56.34 deg, intensity 14, hkl 1 1 10; 57.16 deg, intensity 38, hkl 2 1 5; 66.39 deg, intensity 13, hkl 2 0 10; 67.39 deg, intensity 11, hkl 2 2 0